1.
# Al4Ga
Calculated powder diffraction line list, Cu Kα, 1.54184 Å. Input: a crystal structure in Alexandria, relaxed with GGA-PBE.
Lines closer than 0.1° are merged.

abc: 2.8496 2.8496 35.9695
angles: 90.00 90.00 120.00
Space group R-3m (No. 166, hexagonal axes)
Inequivalent atoms, fractional coordinates:
Al: 0.0000 0.0000 0.0991 (multiplicity 6)
Al: 0.0000 0.0000 0.3002 (multiplicity 6)
Ga: 0.0000 0.0000 0.5000 (multiplicity 3)

Peak list (8 most intense, 2θ from 15° to 90°, sorted by position)
2θ (°)	I/Imax
37.5	360
38.6	1000
44.5	657
64.1	216
65.5	203
76.7	127
78.0	242
78.7	118



2.
# KLi2Zn
Calculated powder diffraction line list, Cu Kα, 1.54184 Å. Input: a crystal structure in Alexandria, relaxed with GGA-PBE.
Lines closer than 0.1° are merged.

abc: 3.494 4.184 15.988
angles: 90.00 90.00 90.00
Space group Imm2 (No. 44)
Inequivalent atoms, fractional coordinates:
K: 0.000 0.000 0.000 (multiplicity 2)
Li: 0.000 0.000 0.676 (multiplicity 2)
Li: 0.000 0.500 0.807 (multiplicity 2)
Zn: 0.000 0.500 0.306 (multiplicity 2)

Peak list (8 most intense, 2θ from 15° to 90°, sorted by position)
2θ (°)	I/Imax
22.0	821
22.2	367
26.1	228
30.6	502
33.6	188
35.3	1000
40.5	282
57.5	262



3.
# HfZnReBi2
Calculated powder diffraction line list, Cu Kα, 1.54184 Å. Input: a crystal structure in Alexandria, relaxed with GGA-PBE.
Lines closer than 0.1° are merged.

abc: 5.120 5.120 5.029
angles: 90.00 90.00 90.00
Space group P4/mmm (No. 123)
Inequivalent atoms, fractional coordinates:
Hf: 0.000 0.000 0.000 (multiplicity 1)
Zn: 0.000 0.000 0.500 (multiplicity 1)
Re: 0.500 0.500 0.000 (multiplicity 1)
Bi: 0.000 0.500 0.500 (multiplicity 2)

Peak list (8 most intense, 2θ from 15° to 90°, sorted by position)
2θ (°)	I/Imax
30.4	1000
35.1	503
35.7	239
50.4	182
50.9	354
60.0	305
60.9	146
63.3	185



4.
# Pm2NdPd9
Calculated powder diffraction line list, Cu Kα, 1.54184 Å. Input: a crystal structure in Alexandria, relaxed with GGA-PBE.
Lines closer than 0.1° are merged.

abc: 4.193 4.193 12.576
angles: 90.00 90.00 90.00
Space group P4/mmm (No. 123)
Inequivalent atoms, fractional coordinates:
Pm: 0.000 0.000 0.166 (multiplicity 2)
Nd: 0.000 0.000 0.500 (multiplicity 1)
Pd: 0.000 0.500 0.000 (multiplicity 2)
Pd: 0.000 0.500 0.332 (multiplicity 4)
Pd: 0.500 0.500 0.166 (multiplicity 2)
Pd: 0.500 0.500 0.500 (multiplicity 1)

Peak list (8 most intense, 2θ from 15° to 90°, sorted by position)
2θ (°)	I/Imax
21.2	19
30.1	16
37.1	1000
43.2	490
48.6	9
62.7	318
75.2	371
79.1	108



5.
# AcLa2Y5
Calculated powder diffraction line list, Cu Kα, 1.54184 Å. Input: a crystal structure in Alexandria, relaxed with GGA-PBE.
Lines closer than 0.1° are merged.

abc: 7.289 20.596 7.368
angles: 90.00 90.00 90.00
Space group Pbam (No. 55)
Inequivalent atoms, fractional coordinates:
Ac: 0.244 0.127 0.000 (multiplicity 4)
La: 0.000 0.500 0.253 (multiplicity 4)
La: 0.245 0.127 0.500 (multiplicity 4)
Y: 0.000 0.000 0.253 (multiplicity 4)
Y: 0.006 0.750 0.253 (multiplicity 8)
Y: 0.245 0.374 0.000 (multiplicity 4)
Y: 0.248 0.374 0.500 (multiplicity 4)

Peak list (8 most intense, 2θ from 15° to 90°, sorted by position)
2θ (°)	I/Imax
29.8	1000
30.0	982
34.6	669
34.8	333
49.9	468
59.0	283
59.4	413
81.3	166



6.
# Th3Zn8
Calculated powder diffraction line list, Cu Kα, 1.54184 Å. Input: a crystal structure in Alexandria, relaxed with GGA-PBE.
Lines closer than 0.1° are merged.

abc: 3.783 4.459 26.905
angles: 90.00 90.00 90.00
Space group Immm (No. 71)
Inequivalent atoms, fractional coordinates:
Th: 0.000 0.000 0.000 (multiplicity 2)
Th: 0.000 0.500 0.145 (multiplicity 4)
Zn: 0.000 0.000 0.255 (multiplicity 4)
Zn: 0.000 0.000 0.452 (multiplicity 4)
Zn: 0.000 0.500 0.309 (multiplicity 4)
Zn: 0.000 0.500 0.404 (multiplicity 4)

Peak list (8 most intense, 2θ from 15° to 90°, sorted by position)
2θ (°)	I/Imax
22.3	269
31.7	195
33.2	559
33.8	1000
40.5	293
42.1	354
53.3	296
65.8	186



7.
# Tb2CuGeS5
Calculated powder diffraction line list, Cu Kα, 1.54184 Å. Input: a crystal structure in Alexandria, relaxed with GGA-PBE.
Lines closer than 0.1° are merged.

abc: 3.861 17.447 10.989
angles: 90.00 90.00 90.00
Space group Cmc2_1 (No. 36)
Inequivalent atoms, fractional coordinates:
Tb: 0.000 0.109 0.000 (multiplicity 4)
Tb: 0.000 0.118 0.620 (multiplicity 4)
Cu: 0.000 0.254 0.434 (multiplicity 4)
Ge: 0.000 0.409 0.796 (multiplicity 4)
S: 0.000 0.037 0.393 (multiplicity 4)
S: 0.000 0.310 0.639 (multiplicity 4)
S: 0.000 0.312 0.967 (multiplicity 4)
S: 0.000 0.359 0.314 (multiplicity 4)
S: 0.000 0.494 0.613 (multiplicity 4)

Peak list (8 most intense, 2θ from 15° to 90°, sorted by position)
2θ (°)	I/Imax
16.1	554
20.4	662
26.4	786
28.7	797
28.9	559
31.9	473
34.1	505
38.4	1000



8.
# Tl3Hg3Au
Calculated powder diffraction line list, Cu Kα, 1.54184 Å. Input: a crystal structure in Alexandria, relaxed with GGA-PBE.
Lines closer than 0.1° are merged.

abc: 8.663 14.449 7.079
angles: 90.00 110.13 90.00
Space group C2/m (No. 12)
Inequivalent atoms, fractional coordinates:
Tl: 0.000 0.128 0.000 (multiplicity 4)
Tl: 0.000 0.280 0.500 (multiplicity 4)
Tl: 0.044 0.500 0.758 (multiplicity 4)
Hg: 0.159 0.000 0.413 (multiplicity 4)
Hg: 0.186 0.312 0.183 (multiplicity 8)
Au: 0.202 0.000 0.837 (multiplicity 4)

Peak list (8 most intense, 2θ from 15° to 90°, sorted by position)
2θ (°)	I/Imax
24.6	342
27.3	550
30.9	1000
31.7	480
32.0	348
32.9	451
33.0	640
38.1	565



9.
# NaFe3Br12
Calculated powder diffraction line list, Cu Kα, 1.54184 Å. Input: a crystal structure in Alexandria, relaxed with GGA-PBE.
Lines closer than 0.1° are merged.

abc: 11.2292 11.2292 35.2392
angles: 90.00 90.00 120.00
Space group R3c (No. 161, hexagonal axes)
Inequivalent atoms, fractional coordinates:
Na: 0.0000 0.0000 0.0000 (multiplicity 6)
Fe: 0.0168 0.3051 0.1048 (multiplicity 18)
Br: 0.0652 0.5141 0.9388 (multiplicity 18)
Br: 0.0738 0.5048 0.7155 (multiplicity 18)
Br: 0.0858 0.5083 0.8257 (multiplicity 18)
Br: 0.0996 0.5423 0.1054 (multiplicity 18)

Peak list (8 most intense, 2θ from 15° to 90°, sorted by position)
2θ (°)	I/Imax
15.1	431
15.8	300
17.5	354
27.3	410
27.5	1000
31.3	293
31.7	390
35.3	292



10.
# La3UTl3S8
Calculated powder diffraction line list, Cu Kα, 1.54184 Å. Input: a crystal structure in Alexandria, relaxed with GGA-PBE.
Lines closer than 0.1° are merged.

abc: 8.4590 8.4590 22.4528
angles: 90.00 90.00 120.00
Space group R-3m (No. 166, hexagonal axes)
Inequivalent atoms, fractional coordinates:
La: 0.0000 0.5000 0.0000 (multiplicity 9)
U: 0.0000 0.0000 0.0000 (multiplicity 3)
Tl: 0.0000 0.5000 0.5000 (multiplicity 9)
S: 0.0000 0.0000 0.2653 (multiplicity 6)
S: 0.0202 0.5101 0.7313 (multiplicity 18)

Peak list (8 most intense, 2θ from 15° to 90°, sorted by position)
2θ (°)	I/Imax
23.8	259
25.6	588
29.1	1000
40.5	369
42.8	357
49.5	236
52.6	188
70.0	158



11.
# TbN4
Calculated powder diffraction line list, Cu Kα, 1.54184 Å. Input: a crystal structure in Alexandria, relaxed with GGA-PBE.
Lines closer than 0.1° are merged.

abc: 4.619 4.621 4.627
angles: 103.71 107.69 117.14
Space group P1 (No. 1)
Inequivalent atoms, fractional coordinates:
Tb: 0.000 0.000 0.000 (multiplicity 1)
N: 0.212 0.601 0.064 (multiplicity 1)
N: 0.213 0.150 0.612 (multiplicity 1)
N: 0.462 0.400 0.610 (multiplicity 1)
N: 0.463 0.851 0.064 (multiplicity 1)

Peak list (8 most intense, 2θ from 15° to 90°, sorted by position)
2θ (°)	I/Imax
22.5	1000
24.2	729
24.7	597
40.2	267
40.3	265
41.1	202
41.2	202
44.0	323



12.
# Y4GaH
Calculated powder diffraction line list, Cu Kα, 1.54184 Å. Input: a crystal structure in Alexandria, relaxed with GGA-PBE.
Lines closer than 0.1° are merged.

abc: 4.935 8.361 7.087
angles: 90.00 90.00 90.00
Space group Pmmn (No. 59, origin choice 2)
Inequivalent atoms, fractional coordinates:
Y: 0.250 0.051 0.204 (multiplicity 4)
Y: 0.250 0.250 0.753 (multiplicity 2)
Y: 0.250 0.750 0.560 (multiplicity 2)
Ga: 0.250 0.750 0.967 (multiplicity 2)
H: 0.250 0.250 0.418 (multiplicity 2)

Peak list (8 most intense, 2θ from 15° to 90°, sorted by position)
2θ (°)	I/Imax
30.7	1000
32.9	795
34.6	161
36.4	391
37.0	191
50.7	152
64.0	147
64.4	206